Simulated powder diffraction line list
Compound: VZn2SbO6
Radiation: CuKα
Structure: DFT lattice parameters and positions (PBE+U)
Neutral-atom scattering factors, no anomalous dispersion.

Most intense lines, 2θ = 5–70°, by angle:
| d/Å | 2θ (°) | Rel. int. | (hkl) |
| --- | --- | --- | --- |
| 5.300 | 16.73 | 31 | 1 0 0 |
| 2.707 | 33.09 | 100 | 1 2 -1 |
| 2.685 | 33.37 | 92 | 1 2 1 |
| 2.655 | 33.76 | 45 | 0 0 2 |
| 2.645 | 33.89 | 44 | 2 0 0 |
| 1.566 | 59.00 | 44 | 0 4 2 |

Atomic structure:
```
VZn2SbO6
1.0
5.2903 0.0000 0.0000
0.0000 7.7619 0.0000
-0.0846 0.0000 5.3106
V Zn Sb O
2 4 2 12
direct
0.0000 0.0000 0.0000
0.0000 0.5000 0.0000
0.0141 0.2500 0.5511
0.4709 0.7500 0.9864
0.5291 0.2500 0.0136
0.9859 0.7500 0.4489
0.5000 0.0000 0.5000
0.5000 0.5000 0.5000
0.1080 0.7500 0.0801
0.1766 0.0664 0.3258
0.1766 0.4336 0.3258
0.3351 0.0678 0.8166
0.3351 0.4322 0.8166
0.3702 0.7500 0.5814
0.6298 0.2500 0.4186
0.6649 0.5678 0.1834
0.6649 0.9322 0.1834
0.8234 0.5664 0.6742
0.8234 0.9336 0.6742
0.8920 0.2500 0.9199
```